Record 1
Computed powder diffraction line list of BaZr4P6O24 for a wavelength of 1.5418 Å, from a DFT-relaxed cell (PBE, OQMD).

Largest 10 diffraction maxima, by angle, 10 to 80 degrees two-theta:
| Position (°2θ) | intensity |
| --- | --- |
| 12.5 | 30.4 |
| 19.0 | 20.9 |
| 20.8 | 78.3 |
| 23.6 | 56.9 |
| 28.3 | 18.0 |
| 30.5 | 100.0 |
| 36.5 | 29.1 |
| 48.3 | 30.2 |
| 57.1 | 20.1 |
| 62.0 | 20.0 |

Atomic structure:
abc: 9.440 9.440 9.440
angles: 53.71 53.71 53.71
Element x y z (fractional)
Ba 0.000 0.000 0.000
Zr 0.150 0.150 0.150
Zr 0.351 0.351 0.351
Zr 0.649 0.649 0.649
Zr 0.850 0.850 0.850
P 0.035 0.459 0.752
P 0.248 0.965 0.541
P 0.459 0.752 0.035
P 0.541 0.248 0.965
P 0.752 0.035 0.459
P 0.965 0.541 0.248
O 0.006 0.612 0.791
O 0.110 0.880 0.737
O 0.120 0.263 0.890
O 0.153 0.530 0.214
O 0.172 0.477 0.547
O 0.209 0.994 0.388
O 0.214 0.153 0.530
O 0.263 0.890 0.120
O 0.388 0.209 0.994
O 0.453 0.828 0.523
O 0.470 0.786 0.847
O 0.477 0.547 0.172
O 0.523 0.453 0.828
O 0.530 0.214 0.153
O 0.547 0.172 0.477
O 0.612 0.791 0.006
O 0.737 0.110 0.880
O 0.786 0.847 0.470
O 0.791 0.006 0.612
O 0.828 0.523 0.453
O 0.847 0.470 0.786
O 0.880 0.737 0.110
O 0.890 0.120 0.263
O 0.994 0.388 0.209

---

Record 2
Computed powder diffraction line list of Zr3Zn3NiIr2 for a wavelength of 1.5418 Å, from a DFT-relaxed cell (PBE, OQMD).

Largest 10 diffraction maxima, by angle, 10 to 80 degrees two-theta:
| Position (°2θ) | intensity |
| --- | --- |
| 14.4 | 22.3 |
| 25.0 | 34.1 |
| 36.2 | 100.0 |
| 38.7 | 40.0 |
| 39.2 | 75.5 |
| 44.1 | 50.6 |
| 47.0 | 36.7 |
| 52.9 | 19.7 |
| 71.3 | 23.8 |
| 72.2 | 25.5 |

Atomic structure:
abc: 7.116 7.116 3.459
angles: 90.00 90.00 120.00
Element x y z (fractional)
Zr 0.000 0.598 0.000
Zr 0.402 0.402 0.000
Zr 0.598 0.000 0.000
Zn 0.000 0.249 0.500
Zn 0.249 0.000 0.500
Zn 0.751 0.751 0.500
Ni 0.000 0.000 0.000
Ir 0.333 0.667 0.500
Ir 0.667 0.333 0.500

---

Record 3
Computed powder diffraction line list of NaRe3N5 for a wavelength of 1.5418 Å, from a DFT-relaxed cell (PBE, OQMD).

Largest 10 diffraction maxima, by angle, 10 to 80 degrees two-theta:
| Position (°2θ) | intensity |
| --- | --- |
| 16.4 | 100.0 |
| 19.5 | 20.7 |
| 25.6 | 27.0 |
| 33.1 | 17.6 |
| 38.1 | 9.6 |
| 39.6 | 36.2 |
| 43.1 | 52.4 |
| 52.6 | 37.7 |
| 66.1 | 15.0 |
| 74.3 | 10.7 |

Atomic structure:
abc: 5.254 5.254 5.410
angles: 90.00 90.00 120.00
Element x y z (fractional)
Na 0.000 0.000 0.000
Re 0.000 0.500 0.500
Re 0.500 0.000 0.500
Re 0.500 0.500 0.500
N 0.000 0.000 0.500
N 0.333 0.667 0.254
N 0.333 0.667 0.746
N 0.667 0.333 0.254
N 0.667 0.333 0.746

---

Please write out number 3 again, unchanged.
Computed powder diffraction line list of NaRe3N5 for a wavelength of 1.5418 Å, from a DFT-relaxed cell (PBE, OQMD).

Largest 10 diffraction maxima, by angle, 10 to 80 degrees two-theta:
| Position (°2θ) | intensity |
| --- | --- |
| 16.4 | 100.0 |
| 19.5 | 20.7 |
| 25.6 | 27.0 |
| 33.1 | 17.6 |
| 38.1 | 9.6 |
| 39.6 | 36.2 |
| 43.1 | 52.4 |
| 52.6 | 37.7 |
| 66.1 | 15.0 |
| 74.3 | 10.7 |

Atomic structure:
abc: 5.254 5.254 5.410
angles: 90.00 90.00 120.00
Element x y z (fractional)
Na 0.000 0.000 0.000
Re 0.000 0.500 0.500
Re 0.500 0.000 0.500
Re 0.500 0.500 0.500
N 0.000 0.000 0.500
N 0.333 0.667 0.254
N 0.333 0.667 0.746
N 0.667 0.333 0.254
N 0.667 0.333 0.746

---

- Which formula does entry 3 have?
  NaRe3N5

---

- Number 3 is which compound?
  NaRe3N5